Pr4Hg2Pb: calculated PXRD pattern (λ = 1.5418 Å (Cu Kα)), based on a GGA-PBE-relaxed structure.

Crystal structure
```
data_Pr4Hg2Pb
_chemical_formula_sum 'Pr12 Hg6 Pb3'
_cell_length_a 5.4318
_cell_length_b 5.4318
_cell_length_c 26.3543
_cell_angle_alpha 90.00
_cell_angle_beta 90.00
_cell_angle_gamma 120.00
_symmetry_space_group_name_H-M 'R -3 m'
_symmetry_Int_Tables_number 166
_symmetry_space_group_name_Hall '-R 3 2"'
loop_
_atom_site_label
_atom_site_fract_x
_atom_site_fract_y
_atom_site_fract_z
_atom_site_occupancy
Pr1 0.0000 0.0000 0.1176 1
Pr2 0.0000 0.0000 0.3705 1
Hg1 0.0000 0.0000 0.2499 1
Pb1 0.0000 0.0000 0.5000 1
```

Peak list (10 most intense, 10 to 90 degrees two-theta, by intensity)
2θ = 32.98°, intensity 100, (1 1 0); 2θ = 33.20°, intensity 94, (0 1 8); 2θ = 59.04°, intensity 37, (1 2 8); 2θ = 47.50°, intensity 35, (2 0 8); 2θ = 58.90°, intensity 19, (3 0 0); 2θ = 78.92°, intensity 16, (3 1 8); 2θ = 59.46°, intensity 16, (1 0 16); 2θ = 79.29°, intensity 14, (2 1 16); 2θ = 69.18°, intensity 12, (2 2 0); 2θ = 25.38°, intensity 11, (0 1 5)

---

PrHg3Pb: calculated PXRD pattern (λ = 1.5418 Å (Cu Kα)), based on a GGA-PBE-relaxed structure.

Crystal structure
```
data_PrHg3Pb
_chemical_formula_sum 'Pr4 Hg12 Pb4'
_cell_length_a 8.3545
_cell_length_b 7.4539
_cell_length_c 8.7985
_cell_angle_alpha 90.00
_cell_angle_beta 90.00
_cell_angle_gamma 90.00
_symmetry_space_group_name_H-M 'P n m a'
_symmetry_Int_Tables_number 62
loop_
_symmetry_equiv_pos_as_xyz
'x,y,z'
'-x,-y,-z'
'-x+1/2,-y,z+1/2'
'x+1/2,y,-z+1/2'
'x+1/2,-y+1/2,-z+1/2'
'-x+1/2,y+1/2,z+1/2'
'-x,y+1/2,-z'
'x,-y+1/2,z'
loop_
_atom_site_label
_atom_site_fract_x
_atom_site_fract_y
_atom_site_fract_z
_atom_site_occupancy
Pr1 0.1346 0.2500 0.1818 1
Hg1 0.1490 0.0539 0.8349 1
Hg2 0.1664 0.7500 0.0719 1
Pb1 0.0000 0.0000 0.5000 1
```

Peak list (10 most intense, 10 to 90 degrees two-theta, by intensity)
2θ = 33.78°, intensity 100, (3 0 1); 2θ = 33.28°, intensity 49, (1 2 2); 2θ = 32.35°, intensity 36, (1 0 3); 2θ = 28.11°, intensity 23, (1 2 1); 2θ = 31.89°, intensity 19, (2 1 2); 2θ = 38.29°, intensity 16, (2 2 2); 2θ = 40.61°, intensity 15, (1 2 3); 2θ = 34.57°, intensity 14, (1 1 3); 2θ = 65.89°, intensity 12, (3 3 4); 2θ = 60.72°, intensity 11, (3 4 1)

---

Pr2HgPb5: calculated PXRD pattern (λ = 1.5418 Å (Cu Kα)), based on a GGA-PBE-relaxed structure.

Crystal structure
```
data_Pr2HgPb5
_chemical_formula_sum 'Pr4 Hg2 Pb10'
_cell_length_a 6.9161
_cell_length_b 13.8577
_cell_length_c 4.8991
_cell_angle_alpha 90.00
_cell_angle_beta 90.00
_cell_angle_gamma 90.00
_symmetry_space_group_name_H-M 'P b a m'
_symmetry_Int_Tables_number 55
loop_
_symmetry_equiv_pos_as_xyz
'x,y,z'
'-x,-y,-z'
'-x,-y,z'
'x,y,-z'
'x+1/2,-y+1/2,-z'
'-x+1/2,y+1/2,z'
'-x+1/2,y+1/2,-z'
'x+1/2,-y+1/2,z'
loop_
_atom_site_label
_atom_site_fract_x
_atom_site_fract_y
_atom_site_fract_z
_atom_site_occupancy
Pr1 0.2479 0.1254 0.0000 1
Hg1 0.0000 0.5000 0.5000 1
Pb1 0.0000 0.0000 0.5000 1
Pb2 0.0056 0.7495 0.5000 1
Pb3 0.2443 0.3771 0.0000 1
```

Peak list (10 most intense, 10 to 90 degrees two-theta, by intensity)
2θ = 31.65°, intensity 100, (0 4 1); 2θ = 36.71°, intensity 51, (0 0 2); 2θ = 62.96°, intensity 43, (0 4 3); 2θ = 52.88°, intensity 30, (2 4 2); 2θ = 86.65°, intensity 16, (2 8 3); 2θ = 89.50°, intensity 15, (2 4 4); 2θ = 66.11°, intensity 12, (0 8 2); 2θ = 52.96°, intensity 6, (4 0 0); 2θ = 78.07°, intensity 6, (0 0 4); 2θ = 86.80°, intensity 3, (6 0 1)

---

Pr2SmHg2Pb2: calculated PXRD pattern (λ = 1.5418 Å (Cu Kα)), based on a GGA-PBE-relaxed structure.

Crystal structure
```
data_Pr2SmHg2Pb2
_chemical_formula_sum 'Pr6 Sm3 Hg6 Pb6'
_cell_length_a 5.1241
_cell_length_b 5.1241
_cell_length_c 27.8707
_cell_angle_alpha 90.00
_cell_angle_beta 90.00
_cell_angle_gamma 120.00
_symmetry_space_group_name_H-M 'R -3 m'
_symmetry_Int_Tables_number 166
_symmetry_space_group_name_Hall '-R 3 2"'
loop_
_atom_site_label
_atom_site_fract_x
_atom_site_fract_y
_atom_site_fract_z
_atom_site_occupancy
Pr1 0.0000 0.0000 0.1303 1
Sm1 0.0000 0.0000 0.0000 1
Hg1 0.0000 0.0000 0.4301 1
Pb1 0.0000 0.0000 0.2755 1
```

Peak list (10 most intense, 10 to 90 degrees two-theta, by intensity)
2θ = 30.16°, intensity 100, (1 0 7); 2θ = 35.02°, intensity 78, (1 1 0); 2θ = 46.88°, intensity 30, (0 2 7); 2θ = 59.83°, intensity 29, (2 1 7); 2θ = 50.23°, intensity 16, (0 1 14); 2θ = 62.82°, intensity 15, (3 0 0); 2θ = 81.93°, intensity 12, (1 3 7); 2θ = 19.11°, intensity 10, (0 0 6); 2θ = 73.89°, intensity 10, (1 2 14); 2θ = 40.20°, intensity 10, (1 1 6)

---

HgPt2Pb5: calculated PXRD pattern (λ = 1.5418 Å (Cu Kα)), based on a GGA-PBE-relaxed structure.

Crystal structure
```
data_HgPt2Pb5
_chemical_formula_sum 'Hg2 Pt4 Pb10'
_cell_length_a 3.8439
_cell_length_b 7.6098
_cell_length_c 14.9080
_cell_angle_alpha 90.00
_cell_angle_beta 90.00
_cell_angle_gamma 90.00
_symmetry_space_group_name_H-M 'I m m m'
_symmetry_Int_Tables_number 71
_symmetry_space_group_name_Hall '-I 2 2'
loop_
_atom_site_label
_atom_site_fract_x
_atom_site_fract_y
_atom_site_fract_z
_atom_site_occupancy
Hg1 0.0000 0.0000 0.0000 1
Pt1 0.0000 0.5000 0.1953 1
Pb1 0.0000 0.2690 0.3501 1
Pb2 0.0000 0.5000 0.0000 1
```

Peak list (10 most intense, 10 to 90 degrees two-theta, by intensity)
2θ = 33.68°, intensity 100, (0 2 4); 2θ = 29.38°, intensity 32, (1 0 3); 2θ = 37.88°, intensity 21, (1 2 3); 2θ = 36.15°, intensity 20, (0 0 6); 2θ = 45.27°, intensity 17, (1 2 5); 2θ = 59.30°, intensity 16, (2 2 4); 2θ = 47.30°, intensity 16, (2 0 0); 2θ = 54.88°, intensity 15, (1 2 7); 2θ = 86.50°, intensity 14, (2 2 10); 2θ = 25.97°, intensity 14, (1 1 0)

---

Hg4PtPb10: calculated PXRD pattern (λ = 1.5418 Å (Cu Kα)), based on a GGA-PBE-relaxed structure.

Crystal structure
```
data_Hg4PtPb10
_chemical_formula_sum 'Hg8 Pt2 Pb20'
_cell_length_a 15.0189
_cell_length_b 7.5149
_cell_length_c 10.7781
_cell_angle_alpha 90.00
_cell_angle_beta 129.43
_cell_angle_gamma 90.00
_symmetry_space_group_name_H-M 'C 1 2/m 1'
_symmetry_Int_Tables_number 12
loop_
_symmetry_equiv_pos_as_xyz
'x,y,z'
'-x,-y,-z'
'-x,y,-z'
'x,-y,z'
'x+1/2,y+1/2,z'
'-x+1/2,-y+1/2,-z'
'-x+1/2,y+1/2,-z'
'x+1/2,-y+1/2,z'
loop_
_atom_site_label
_atom_site_fract_x
_atom_site_fract_y
_atom_site_fract_z
_atom_site_occupancy
Hg1 0.0953 0.0000 0.3915 1
Hg2 0.2089 0.5000 0.8038 1
Pt1 0.0000 0.5000 0.0000 1
Pb1 0.0000 0.2795 0.5000 1
Pb2 0.0962 0.2486 0.9060 1
Pb3 0.1921 0.2865 0.2906 1
```

Peak list (10 most intense, 10 to 90 degrees two-theta, by intensity)
2θ = 34.93°, intensity 100, (2 2 -3); 2θ = 33.54°, intensity 30, (2 0 2); 2θ = 22.38°, intensity 28, (3 1 -2); 2θ = 38.48°, intensity 20, (6 0 -4); 2θ = 60.86°, intensity 20, (0 2 5); 2θ = 51.95°, intensity 17, (4 0 -6); 2θ = 67.32°, intensity 15, (8 2 -7); 2θ = 25.30°, intensity 14, (4 0 -1); 2θ = 39.74°, intensity 13, (1 3 1); 2θ = 40.69°, intensity 12, (1 1 -4)

---

Hg2PtPb4: calculated PXRD pattern (λ = 1.5418 Å (Cu Kα)), based on a GGA-PBE-relaxed structure.

Crystal structure
```
data_Hg2PtPb4
_chemical_formula_sum 'Hg2 Pt1 Pb4'
_cell_length_a 6.1154
_cell_length_b 3.6357
_cell_length_c 9.2529
_cell_angle_alpha 90.00
_cell_angle_beta 101.35
_cell_angle_gamma 90.00
_symmetry_space_group_name_H-M 'P 1 2/m 1'
_symmetry_Int_Tables_number 10
loop_
_symmetry_equiv_pos_as_xyz
'x,y,z'
'-x,-y,-z'
'-x,y,-z'
'x,-y,z'
loop_
_atom_site_label
_atom_site_fract_x
_atom_site_fract_y
_atom_site_fract_z
_atom_site_occupancy
Hg1 0.2487 0.0000 0.4534 1
Pt1 0.0000 0.5000 0.0000 1
Pb1 0.1775 0.5000 0.7446 1
Pb2 0.3291 0.0000 0.1294 1
```

Peak list (10 most intense, 10 to 90 degrees two-theta, by intensity)
2θ = 31.35°, intensity 100, (1 1 1); 2θ = 30.37°, intensity 76, (1 0 -3); 2θ = 41.02°, intensity 55, (2 1 -2); 2θ = 33.27°, intensity 39, (2 0 1); 2θ = 59.80°, intensity 37, (1 2 -3); 2θ = 28.72°, intensity 35, (1 1 0); 2θ = 38.73°, intensity 33, (0 1 3); 2θ = 31.54°, intensity 24, (0 1 2); 2θ = 50.18°, intensity 24, (0 2 0); 2θ = 29.80°, intensity 23, (2 0 0)

---

Sr2HgPt4Pb3: calculated PXRD pattern (λ = 1.5418 Å (Cu Kα)), based on a GGA-PBE-relaxed structure.

Crystal structure
```
data_Sr2HgPt4Pb3
_chemical_formula_sum 'Sr2 Hg1 Pt4 Pb3'
_cell_length_a 4.9209
_cell_length_b 4.9209
_cell_length_c 10.5361
_cell_angle_alpha 90.00
_cell_angle_beta 90.00
_cell_angle_gamma 90.00
_symmetry_space_group_name_H-M 'P -4 m 2'
_symmetry_Int_Tables_number 115
loop_
_symmetry_equiv_pos_as_xyz
'x,y,z'
'y,-x,-z'
'-x,-y,z'
'-y,x,-z'
'-x,y,z'
'-y,-x,-z'
'x,-y,z'
'y,x,-z'
loop_
_atom_site_label
_atom_site_fract_x
_atom_site_fract_y
_atom_site_fract_z
_atom_site_occupancy
Sr1 0.0000 0.5000 0.2422 1
Hg1 0.0000 0.0000 0.5000 1
Pt1 0.0000 0.0000 0.0000 1
Pt2 0.0000 0.5000 0.6251 1
Pt3 0.5000 0.5000 0.0000 1
Pb1 0.0000 0.5000 0.8805 1
Pb2 0.5000 0.5000 0.5000 1
```

Peak list (10 most intense, 10 to 90 degrees two-theta, by intensity)
2θ = 36.52°, intensity 100, (2 0 0); 2θ = 30.80°, intensity 89, (1 1 2); 2θ = 43.07°, intensity 81, (1 1 4); 2θ = 31.29°, intensity 57, (1 0 3); 2θ = 16.83°, intensity 43, (0 0 2); 2θ = 19.91°, intensity 40, (1 0 1); 2θ = 70.26°, intensity 39, (3 1 4); 2θ = 52.60°, intensity 36, (2 2 0); 2θ = 48.84°, intensity 33, (2 1 3); 2θ = 62.20°, intensity 24, (3 1 2)